Structure and theoretical X-ray powder pattern of Ba5Hg2 (DFT lattice parameters and positions (PBE); Cu Kα (weighted mean of Kα1 and Kα2)).
Kinematic intensities with the Lorentz-polarization factor, no thermal factor.

Main lines, low angle first (2θ = 10–90°):
| 2theta | intensity |
| --- | --- |
| 16.10 | 89.9 |
| 25.05 | 66.8 |
| 25.54 | 100.0 |
| 26.52 | 73.9 |
| 28.26 | 70.2 |
| 28.59 | 66.5 |
| 29.19 | 64.4 |
| 32.81 | 62.3 |

Structural model:
a b c (Å): 10.774 10.774 8.708
angles (deg): 97.06 97.06 43.83
Atoms (fractional coordinates):
Ba 0.070 0.930 0.750
Ba 0.148 0.288 0.311
Ba 0.288 0.148 0.811
Ba 0.295 0.519 0.072
Ba 0.481 0.705 0.428
Ba 0.519 0.295 0.572
Ba 0.705 0.481 0.928
Ba 0.712 0.852 0.189
Ba 0.852 0.712 0.689
Ba 0.930 0.070 0.250
Hg 0.097 0.683 0.427
Hg 0.317 0.903 0.073
Hg 0.683 0.097 0.927
Hg 0.903 0.317 0.573

***

Structure and theoretical X-ray powder pattern of Nd8CoOs3Cl4 (DFT lattice parameters and positions (PBE); Cu Kα (weighted mean of Kα1 and Kα2)).
Kinematic intensities with the Lorentz-polarization factor, no thermal factor.

Main lines, low angle first (2θ = 10–90°):
| 2theta | intensity |
| --- | --- |
| 11.65 | 52.4 |
| 29.87 | 100.0 |
| 37.66 | 21.9 |
| 40.77 | 33.0 |
| 44.65 | 35.8 |
| 51.18 | 14.2 |
| 54.65 | 18.0 |
| 73.15 | 15.0 |

Structural model:
a b c (Å): 8.116 8.116 8.928
angles (deg): 117.06 117.06 60.03
Atoms (fractional coordinates):
Nd 0.234 0.234 0.705
Nd 0.234 0.737 0.705
Nd 0.263 0.766 0.295
Nd 0.264 0.264 0.291
Nd 0.736 0.736 0.709
Nd 0.737 0.234 0.705
Nd 0.766 0.263 0.295
Nd 0.766 0.766 0.295
Co 0.000 0.000 0.500
Os 0.000 0.500 0.500
Os 0.500 0.000 0.500
Os 0.500 0.500 0.500
Cl 0.000 0.000 0.000
Cl 0.000 0.500 0.000
Cl 0.500 0.000 0.000
Cl 0.500 0.500 0.000